[1]
Theoretical powder X-ray diffraction pattern of Al6Cr for Cu Kα (λ = 1.5418 Å), from a DFT-relaxed cell (GGA-PBE, Alexandria).

The 12 most intense peaks (2θ from 5° to 70°), by angle:
2θ/deg  Rel. int.
17.84  45
26.89  25
33.91  20
35.23  23
39.42  67
40.55  26
40.99  38
41.61  85
42.96  45
43.33  100
44.21  34
44.62  59

Atomic structure:
```
data_Al6Cr
_cell_length_a 5.0255
_cell_length_b 5.0255
_cell_length_c 8.8990
_cell_angle_alpha 90.00
_cell_angle_beta 90.00
_cell_angle_gamma 81.67
_symmetry_space_group_name_H-M 'P 1'
_symmetry_Int_Tables_number 1
_symmetry_space_group_name_Hall 'P 1'
loop_
_atom_site_label
_atom_site_type_symbol
_atom_site_fract_x
_atom_site_fract_y
_atom_site_fract_z
Al1 Al 0.0334 0.6007 0.2500
Al2 Al 0.1356 0.8644 0.6015
Al3 Al 0.1356 0.8644 0.8985
Al4 Al 0.3283 0.3283 0.0000
Al5 Al 0.3283 0.3283 0.5000
Al6 Al 0.3993 0.9666 0.2500
Al7 Al 0.6007 0.0334 0.7500
Al8 Al 0.6717 0.6717 0.0000
Al9 Al 0.6717 0.6717 0.5000
Al10 Al 0.8644 0.1356 0.1015
Al11 Al 0.8644 0.1356 0.3985
Al12 Al 0.9666 0.3993 0.7500
Cr1 Cr 0.4543 0.5457 0.7500
Cr2 Cr 0.5457 0.4543 0.2500
```


[2]
Theoretical powder X-ray diffraction pattern of Al4CrCu for Cu Kα (λ = 1.5418 Å), from a DFT-relaxed cell (GGA-PBE, Alexandria).

The 12 most intense peaks (2θ from 5° to 70°), by angle:
2θ/deg  Rel. int.
14.08  2
22.06  1
26.27  100
36.24  1
42.83  90
45.00  39
48.98  17
52.86  26
54.33  1
58.72  8
65.53  12
68.69  11

Atomic structure:
```
data_Al4CrCu
_cell_length_a 4.0289
_cell_length_b 4.0289
_cell_length_c 6.2895
_cell_angle_alpha 90.00
_cell_angle_beta 90.00
_cell_angle_gamma 90.00
_symmetry_space_group_name_H-M 'P 1'
_symmetry_Int_Tables_number 1
_symmetry_space_group_name_Hall 'P 1'
loop_
_atom_site_label
_atom_site_type_symbol
_atom_site_fract_x
_atom_site_fract_y
_atom_site_fract_z
Al1 Al 0.0000 0.5000 0.2425
Al2 Al 0.0000 0.5000 0.7575
Al3 Al 0.5000 0.0000 0.2425
Al4 Al 0.5000 0.0000 0.7575
Cr1 Cr 0.0000 0.0000 0.5000
Cu1 Cu 0.5000 0.5000 0.0000
```